Calculated X-ray diffraction stick pattern
Compound: Dy2YLu4Ni2Te2
Radiation: a wavelength of 1.5418 Å
Structure: a PBE-relaxed structure
Peak positions follow from Bragg's law for the DFT cell and can differ from measured ones.

Main lines, low angle first (5° ≤ 2θ ≤ 70°):
two_theta  intensity
25.09  27
29.08  21
30.46  20
30.56  44
33.25  85
34.33  100
34.82  85
36.86  22
38.73  23
45.35  17
47.52  30
59.22  33

Cell and atoms:
a b c (Å): 9.258 9.258 9.258
angles (deg): 156.14 67.10 118.33
Fractional coordinates of all 11 atoms:
Dy 0.133 0.000 0.133
Dy 0.867 0.000 0.867
Y 0.581 0.581 0.000
Lu 0.204 0.852 0.352
Lu 0.501 0.852 0.648
Lu 0.516 0.202 0.314
Lu 0.888 0.202 0.686
Ni 0.274 0.510 0.764
Ni 0.746 0.510 0.236
Te 0.248 0.248 0.000
Te 0.845 0.345 0.500